# 1
The following is a simulated XRD peak list of RbSb. It was derived from a PBE-relaxed structure, using a wavelength of 1.5418 Å.
Peak positions follow from Bragg's law for the DFT cell and can differ from measured ones.

Structural model:
Lattice parameters (Å, degrees): 8.516 8.516 8.516 90.00 90.00 90.00
Space group F-43m (No. 216)
Unique sites:
Rb  0.000  0.000  0.000 (multiplicity 4)
Sb  0.250  0.250  0.750 (multiplicity 4)

Most intense lines, 2θ from 10° to 90°, in order of falling intensity:
index, 2θ (°), intensity
1 1 1, 18.04, 100
2 2 0, 29.67, 86
3 1 1, 34.94, 57
4 2 2, 52.65, 34
3 3 1, 46.48, 25
5 1 1, 56.12, 19
5 3 1, 64.76, 18
6 4 2, 85.29, 17

***

# 2
The following is a simulated XRD peak list of RbSb. It was derived from a PBE-relaxed structure, using a wavelength of 1.5418 Å.
Peak positions follow from Bragg's law for the DFT cell and can differ from measured ones.

Structural model:
Lattice parameters (Å, degrees): 7.597 7.597 7.597 90.00 90.00 90.00
Space group Fm-3m (No. 225)
Unique sites:
Rb  0.000  0.000  0.000 (multiplicity 4)
Sb  0.000  0.000  0.500 (multiplicity 4)

Most intense lines, 2θ from 10° to 90°, in order of falling intensity:
index, 2θ (°), intensity
2 0 0, 23.42, 100
2 2 0, 33.36, 80
4 2 0, 53.98, 40
2 2 2, 41.16, 30
4 2 2, 59.62, 29
6 0 0, 75.01, 19
4 0 0, 47.90, 14
6 2 0, 79.85, 13

***

# 3
The following is a simulated XRD peak list of Rb3SbSe4. It was derived from a PBE-relaxed structure, using a wavelength of 1.5418 Å.
Peak positions follow from Bragg's law for the DFT cell and can differ from measured ones.

Structural model:
Lattice parameters (Å, degrees): 10.036 11.702 10.633 90.00 90.00 90.00
Space group Pnma (No. 62)
Unique sites:
Rb  0.070  0.045  0.197 (multiplicity 8)
Rb  0.139  0.750  0.424 (multiplicity 4)
Sb  0.226  0.750  0.980 (multiplicity 4)
Se  0.009  0.750  0.100 (multiplicity 4)
Se  0.143  0.071  0.529 (multiplicity 8)
Se  0.175  0.750  0.748 (multiplicity 4)

Most intense lines, 2θ from 10° to 90°, in order of falling intensity:
index, 2θ (°), intensity
2 3 0, 28.99, 100
1 1 1, 14.30, 56
2 0 2, 24.33, 53
0 1 3, 26.27, 38
2 2 3, 34.57, 36
0 4 0, 30.56, 31
0 6 0, 46.53, 31
1 0 3, 26.67, 29

***

# 4
The following is a simulated XRD peak list of RbSc5Te8. It was derived from a PBE-relaxed structure, using a wavelength of 1.5418 Å.
Peak positions follow from Bragg's law for the DFT cell and can differ from measured ones.

Structural model:
Lattice parameters (Å, degrees): 21.560 4.178 10.355 90.00 104.46 90.00
Space group C2/m (No. 12)
Unique sites:
Rb  0.000  0.000  0.000 (multiplicity 2)
Sc  0.000  0.500  0.500 (multiplicity 2)
Sc  0.156  0.000  0.478 (multiplicity 4)
Sc  0.206  0.000  0.844 (multiplicity 4)
Te  0.075  0.000  0.665 (multiplicity 4)
Te  0.085  0.500  0.316 (multiplicity 4)
Te  0.165  0.500  0.997 (multiplicity 4)
Te  0.238  0.500  0.658 (multiplicity 4)

Most intense lines, 2θ from 10° to 90°, in order of falling intensity:
index, 2θ (°), intensity
3 1 1, 27.50, 100
3 1 -2, 28.71, 69
9 1 -1, 43.56, 48
6 0 -2, 27.31, 46
0 0 3, 26.67, 40
6 0 1, 29.19, 29
3 1 -3, 34.26, 27
0 2 0, 43.31, 26

***

# 5
The following is a simulated XRD peak list of Rb2Se3. It was derived from a PBE-relaxed structure, using a wavelength of 1.5418 Å.
Peak positions follow from Bragg's law for the DFT cell and can differ from measured ones.

Structural model:
Lattice parameters (Å, degrees): 7.883 11.242 8.092 90.00 90.00 90.00
Space group Cmc2_1 (No. 36)
Unique sites:
Rb  0.000  0.086  0.000 (multiplicity 4)
Rb  0.000  0.401  0.778 (multiplicity 4)
Se  0.000  0.293  0.323 (multiplicity 4)
Se  0.243  0.339  0.152 (multiplicity 8)

Most intense lines, 2θ from 10° to 90°, in order of falling intensity:
index, 2θ (°), intensity
2 2 1, 29.81, 100
1 3 1, 28.59, 70
1 1 2, 25.99, 70
2 0 2, 31.69, 48
0 4 1, 33.76, 40
2 4 3, 52.44, 35
0 2 3, 36.97, 30
2 0 4, 50.73, 25

***

# 6
The following is a simulated XRD peak list of Rb2Si2Se5. It was derived from a PBE-relaxed structure, using a wavelength of 1.5418 Å.
Peak positions follow from Bragg's law for the DFT cell and can differ from measured ones.

Structural model:
Lattice parameters (Å, degrees): 16.284 16.315 9.577 90.00 105.44 90.00
Space group C2/c (No. 15)
Unique sites:
Rb  0.134  0.074  0.128 (multiplicity 8)
Rb  0.156  0.366  0.379 (multiplicity 8)
Si  0.065  0.205  0.616 (multiplicity 8)
Si  0.103  0.370  0.899 (multiplicity 8)
Se  0.000  0.118  0.750 (multiplicity 4)
Se  0.000  0.452  0.750 (multiplicity 4)
Se  0.040  0.284  0.038 (multiplicity 8)
Se  0.119  0.127  0.475 (multiplicity 8)
Se  0.170  0.285  0.765 (multiplicity 8)
Se  0.201  0.443  0.048 (multiplicity 8)

Most intense lines, 2θ from 10° to 90°, in order of falling intensity:
index, 2θ (°), intensity
3 3 1, 27.20, 100
2 2 -3, 30.32, 54
4 2 -2, 27.88, 39
6 6 -1, 47.33, 36
1 5 -1, 29.09, 36
3 3 -2, 27.54, 36
3 3 -1, 23.72, 26
2 4 -2, 29.45, 26

***

# 7
The following is a simulated XRD peak list of RbTbSe2. It was derived from a PBE-relaxed structure, using a wavelength of 1.5418 Å.
Peak positions follow from Bragg's law for the DFT cell and can differ from measured ones.

Structural model:
Lattice parameters (Å, degrees): 4.2631 4.2631 23.9974 90.00 90.00 120.00
Space group R-3m (No. 166, hexagonal axes)
Unique sites:
Rb  0.0000  0.0000  0.0000 (multiplicity 3)
Tb  0.0000  0.0000  0.5000 (multiplicity 3)
Se  0.0000  0.0000  0.2320 (multiplicity 6)

Most intense lines, 2θ from 10° to 90°, in order of falling intensity:
index, 2θ (°), intensity
1 0 4, 28.39, 100
1 1 0, 42.41, 36
0 1 8, 38.68, 34
0 0 3, 11.06, 30
0 2 4, 51.82, 18
2 1 4, 69.11, 16
1 0 7, 35.74, 12
0 1 11, 48.44, 12

***

# 8
The following is a simulated XRD peak list of RbTi6Se8. It was derived from a PBE-relaxed structure, using a wavelength of 1.5418 Å.
Peak positions follow from Bragg's law for the DFT cell and can differ from measured ones.

Structural model:
Lattice parameters (Å, degrees): 9.9731 9.9731 3.5958 90.00 90.00 120.00
Space group P-3 (No. 147)
Unique sites:
Rb  0.0000  0.0000  0.0000 (multiplicity 1)
Ti  0.1300  0.4922  0.2497 (multiplicity 6)
Se  0.0513  0.6988  0.2517 (multiplicity 6)
Se  0.3333  0.6667  0.7500 (multiplicity 2)

Most intense lines, 2θ from 10° to 90°, in order of falling intensity:
index, 2θ (°), intensity
3 0 0, 31.06, 100
2 1 1, 37.20, 89
4 -2 1, 44.20, 68
0 2 1, 32.40, 63
1 1 1, 30.65, 62
3 2 1, 52.75, 53
3 1 0, 37.55, 49
1 0 0, 10.24, 36

***

# 9
The following is a simulated XRD peak list of Rb4Zr3Se14. It was derived from a PBE-relaxed structure, using a wavelength of 1.5418 Å.
Peak positions follow from Bragg's law for the DFT cell and can differ from measured ones.

Structural model:
Lattice parameters (Å, degrees): 23.025 8.810 14.571 90.00 111.73 90.00
Space group C2/c (No. 15)
Unique sites:
Rb  0.068  0.250  0.149 (multiplicity 8)
Rb  0.198  0.177  0.608 (multiplicity 8)
Zr  0.000  0.239  0.750 (multiplicity 4)
Zr  0.168  0.243  0.914 (multiplicity 8)
Se  0.036  0.163  0.597 (multiplicity 8)
Se  0.065  0.404  0.921 (multiplicity 8)
Se  0.082  0.009  0.867 (multiplicity 8)
Se  0.099  0.356  0.716 (multiplicity 8)
Se  0.146  0.450  0.391 (multiplicity 8)
Se  0.175  0.023  0.330 (multiplicity 8)
Se  0.219  0.213  0.104 (multiplicity 8)

Most intense lines, 2θ from 10° to 90°, in order of falling intensity:
index, 2θ (°), intensity
1 1 -1, 11.86, 100
2 2 2, 27.10, 74
0 0 4, 26.34, 49
2 0 -2, 12.63, 45
8 0 -2, 31.13, 35
5 3 0, 37.10, 25
6 0 -2, 23.51, 22
1 1 4, 29.99, 22

***

# 10
The following is a simulated XRD peak list of Rb3Si. It was derived from a PBE-relaxed structure, using a wavelength of 1.5418 Å.
Peak positions follow from Bragg's law for the DFT cell and can differ from measured ones.

Structural model:
Lattice parameters (Å, degrees): 8.5668 8.5668 6.1954 90.00 90.00 120.00
Space group P6_3/mmc (No. 194)
Unique sites:
Rb  0.1860  0.3721  0.2500 (multiplicity 6)
Si  0.3333  0.6667  0.7500 (multiplicity 2)

Most intense lines, 2θ from 10° to 90°, in order of falling intensity:
index, 2θ (°), intensity
2 0 1, 28.04, 100
2 0 0, 23.99, 25
1 0 1, 18.66, 24
0 0 2, 28.82, 23
2 0 3, 50.59, 19
2 2 2, 51.90, 18
2 2 0, 42.20, 17
2 0 2, 37.84, 15